Structure and theoretical powder diffractogram of Li2CaPrTl4 (DFT lattice parameters and positions (GGA-PBE); Cu Kα (λ = 1.5418 Å)).

a = 5.2723 Å, b = 5.2723 Å, c = 25.9861 Å
α = 90.00°, β = 90.00°, γ = 120.00°
Space group R-3m (No. 166, hexagonal axes)
Asymmetric unit:
Li (0.0000, 0.0000, 0.2493) (multiplicity 6)
Ca (0.0000, 0.0000, 0.5000) (multiplicity 3)
Pr (0.0000, 0.0000, 0.0000) (multiplicity 3)
Tl (0.0000, 0.0000, 0.1266) (multiplicity 6)
Tl (0.0000, 0.0000, 0.3770) (multiplicity 6)

Main lines, sorted by position (2θ = 10–90°):
| 2θ (°) | d [Å] | I (rel.) | hkl |
| --- | --- | --- | --- |
| 23.82 | 3.736 | 89 | 1 0 4 |
| 33.87 | 2.647 | 100 | 0 1 8 |
| 34.01 | 2.636 | 100 | 1 1 0 |
| 41.95 | 2.154 | 21 | 0 2 4 |
| 48.75 | 1.868 | 36 | 2 0 8 |
| 54.87 | 1.673 | 19 | 1 1 12 |
| 55.06 | 1.668 | 19 | 2 1 4 |
| 60.50 | 1.530 | 19 | 1 0 16 |
| 60.80 | 1.523 | 57 | 3 0 0 |
| 81.60 | 1.180 | 16 | 3 1 8 |